Entry 1:
# SrBeSi2
Computed powder diffraction line list, Cu Kα, 1.54184 Å. Input: a crystal structure in Alexandria, relaxed with PBE.

Largest 8 diffraction maxima, low angle first, 5° ≤ 2θ ≤ 70°:
14.96 deg, d = 5.922 Å, I 35.7; 24.36 deg, d = 3.654 Å, I 33.8; 27.99 deg, d = 3.188 Å, I 100.0; 28.71 deg, d = 3.110 Å, I 47.9; 34.12 deg, d = 2.628 Å, I 28.9; 37.44 deg, d = 2.402 Å, I 95.4; 38.61 deg, d = 2.332 Å, I 29.3; 39.16 deg, d = 2.301 Å, I 51.1

Atomic structure:
```
SrBeSi2
1.0
3.654 0.000 0.000
0.000 3.783 0.000
0.000 0.000 5.922
Sr Be Si
1 1 2
Direct
0.000 0.000 0.000
0.500 0.000 0.498
0.000 0.500 0.442
0.500 0.500 0.711
```

***

Entry 2:
# Tb3BeSi3
Computed powder diffraction line list, Cu Kα, 1.54184 Å. Input: a crystal structure in Alexandria, relaxed with PBE.

Largest 8 diffraction maxima, low angle first, 5° ≤ 2θ ≤ 70°:
21.76 deg, d = 4.084 Å, I 38.7; 27.76 deg, d = 3.214 Å, I 73.4; 30.79 deg, d = 2.904 Å, I 31.7; 33.16 deg, d = 2.702 Å, I 100.0; 33.41 deg, d = 2.682 Å, I 64.1; 52.01 deg, d = 1.758 Å, I 26.6; 52.96 deg, d = 1.729 Å, I 35.9; 58.97 deg, d = 1.566 Å, I 25.1

Atomic structure:
```
Tb3BeSi3
1.0
-1.930 2.100 8.711
1.930 -2.100 8.711
1.930 2.100 -8.711
Tb Be Si
3 1 3
Direct
0.000 0.000 0.000
0.183 0.683 0.500
0.368 0.368 0.000
0.616 0.116 0.500
0.549 0.549 0.000
0.742 0.242 0.500
0.826 0.826 0.000
```

***

Entry 3:
# U2Be3Si4Tc
Computed powder diffraction line list, Cu Kα, 1.54184 Å. Input: a crystal structure in Alexandria, relaxed with PBE.

Largest 8 diffraction maxima, low angle first, 5° ≤ 2θ ≤ 70°:
18.38 deg, d = 4.827 Å, I 25.2; 24.59 deg, d = 3.620 Å, I 100.0; 36.17 deg, d = 2.483 Å, I 54.6; 37.53 deg, d = 2.397 Å, I 81.9; 46.52 deg, d = 1.952 Å, I 26.5; 52.90 deg, d = 1.731 Å, I 20.4; 53.31 deg, d = 1.718 Å, I 26.4; 60.30 deg, d = 1.535 Å, I 25.6

Atomic structure:
```
U2Be3Si4Tc
1.0
3.905 0.000 0.000
0.000 3.905 0.000
0.000 0.000 9.654
U Be Si Tc
2 3 4 1
Direct
0.000 0.500 0.241
0.500 0.000 0.759
0.000 0.500 0.875
0.500 0.000 0.125
0.500 0.500 0.500
0.000 0.000 0.000
0.000 0.500 0.645
0.500 0.000 0.355
0.500 0.500 0.000
0.000 0.000 0.500
```

***

Entry 4:
# Y2Be4Si3Tc
Computed powder diffraction line list, Cu Kα, 1.54184 Å. Input: a crystal structure in Alexandria, relaxed with PBE.

Largest 8 diffraction maxima, low angle first, 5° ≤ 2θ ≤ 70°:
8.78 deg, d = 10.067 Å, I 41.6; 25.08 deg, d = 3.550 Å, I 60.7; 34.60 deg, d = 2.592 Å, I 30.0; 35.71 deg, d = 2.514 Å, I 77.6; 38.01 deg, d = 2.367 Å, I 100.0; 47.96 deg, d = 1.897 Å, I 35.8; 51.38 deg, d = 1.779 Å, I 22.7; 61.20 deg, d = 1.514 Å, I 38.0

Atomic structure:
```
Y2Be4Si3Tc
1.0
3.794 0.000 0.000
0.000 3.794 0.000
0.000 0.000 10.067
Y Be Si Tc
2 4 3 1
Direct
0.000 0.500 0.242
0.500 0.000 0.758
0.000 0.000 0.000
0.000 0.500 0.641
0.500 0.000 0.359
0.500 0.500 0.000
0.000 0.500 0.870
0.500 0.000 0.130
0.500 0.500 0.500
0.000 0.000 0.500
```

***

Entry 5:
# Be5VSi2
Computed powder diffraction line list, Cu Kα, 1.54184 Å. Input: a crystal structure in Alexandria, relaxed with PBE.

Largest 8 diffraction maxima, low angle first, 5° ≤ 2θ ≤ 70°:
19.22 deg, d = 4.618 Å, I 100.0; 21.49 deg, d = 4.136 Å, I 81.4; 28.98 deg, d = 3.081 Å, I 63.0; 30.73 deg, d = 2.909 Å, I 54.9; 41.32 deg, d = 2.185 Å, I 35.8; 43.78 deg, d = 2.068 Å, I 69.2; 46.19 deg, d = 1.965 Å, I 79.1; 48.22 deg, d = 1.887 Å, I 56.5

Atomic structure:
```
Be5VSi2
1.0
2.480 -3.746 0.000
2.480 3.746 0.000
0.000 0.000 4.618
Be V Si
5 1 2
Direct
0.000 0.000 0.000
0.000 0.500 0.172
0.282 0.282 0.398
0.500 0.000 0.172
0.718 0.718 0.398
0.500 0.500 0.914
0.000 0.500 0.686
0.500 0.000 0.686
```

***

Entry 6:
# Be16V2Si
Computed powder diffraction line list, Cu Kα, 1.54184 Å. Input: a crystal structure in Alexandria, relaxed with PBE.

Largest 8 diffraction maxima, low angle first, 5° ≤ 2θ ≤ 70°:
24.30 deg, d = 3.662 Å, I 100.0; 35.22 deg, d = 2.548 Å, I 63.8; 36.62 deg, d = 2.454 Å, I 28.7; 42.76 deg, d = 2.114 Å, I 49.5; 44.44 deg, d = 2.039 Å, I 23.1; 49.79 deg, d = 1.831 Å, I 39.5; 50.23 deg, d = 1.816 Å, I 51.3; 51.29 deg, d = 1.781 Å, I 24.0

Atomic structure:
```
Be16V2Si
1.0
3.662 2.114 3.548
-3.662 2.114 3.548
0.000 -4.229 3.548
Be V Si
16 2 1
Direct
0.001 0.310 0.689
0.001 0.689 0.310
0.003 0.003 0.493
0.003 0.493 0.003
0.106 0.106 0.106
0.170 0.649 0.649
0.310 0.001 0.689
0.310 0.689 0.001
0.346 0.346 0.836
0.346 0.836 0.346
0.493 0.003 0.003
0.649 0.170 0.649
0.649 0.649 0.170
0.689 0.001 0.310
0.689 0.310 0.001
0.836 0.346 0.346
0.341 0.341 0.341
0.658 0.658 0.658
0.899 0.899 0.899
```

***

Entry 7:
# BeSiW2
Computed powder diffraction line list, Cu Kα, 1.54184 Å. Input: a crystal structure in Alexandria, relaxed with PBE.

Largest 8 diffraction maxima, low angle first, 5° ≤ 2θ ≤ 70°:
24.46 deg, d = 3.639 Å, I 60.9; 29.34 deg, d = 3.044 Å, I 49.8; 40.20 deg, d = 2.243 Å, I 26.7; 41.81 deg, d = 2.160 Å, I 100.0; 44.43 deg, d = 2.039 Å, I 21.3; 45.00 deg, d = 2.015 Å, I 19.7; 54.14 deg, d = 1.694 Å, I 18.6; 65.09 deg, d = 1.433 Å, I 13.2

Atomic structure:
```
BeSiW2
1.0
-1.644 2.039 4.029
1.644 -2.039 4.029
1.644 2.039 -4.029
Be Si W
1 1 2
Direct
0.000 0.000 0.000
0.225 0.725 0.500
0.482 0.482 0.000
0.747 0.247 0.500
```

***

Entry 8:
# BeSiW4
Computed powder diffraction line list, Cu Kα, 1.54184 Å. Input: a crystal structure in Alexandria, relaxed with PBE.

Largest 8 diffraction maxima, low angle first, 5° ≤ 2θ ≤ 70°:
30.54 deg, d = 2.927 Å, I 14.3; 36.73 deg, d = 2.447 Å, I 23.4; 39.01 deg, d = 2.309 Å, I 100.0; 48.49 deg, d = 1.878 Å, I 12.2; 49.21 deg, d = 1.851 Å, I 14.2; 62.95 deg, d = 1.476 Å, I 9.5; 67.66 deg, d = 1.385 Å, I 20.2; 68.85 deg, d = 1.364 Å, I 15.9

Atomic structure:
```
BeSiW4
1.0
5.855 0.000 0.000
0.000 5.855 0.000
0.000 0.000 4.894
Be Si W
2 2 8
Direct
0.000 0.000 0.250
0.000 0.000 0.750
0.500 0.500 0.250
0.500 0.500 0.750
0.156 0.329 0.000
0.156 0.671 0.500
0.329 0.156 0.500
0.329 0.844 0.000
0.671 0.156 0.000
0.671 0.844 0.500
0.844 0.329 0.500
0.844 0.671 0.000
```

***

Entry 9:
# Be16SiW2
Computed powder diffraction line list, Cu Kα, 1.54184 Å. Input: a crystal structure in Alexandria, relaxed with PBE.

Largest 8 diffraction maxima, low angle first, 5° ≤ 2θ ≤ 70°:
16.17 deg, d = 5.481 Å, I 54.1; 24.11 deg, d = 3.692 Å, I 100.0; 25.10 deg, d = 3.548 Å, I 24.9; 35.08 deg, d = 2.558 Å, I 71.8; 36.57 deg, d = 2.457 Å, I 19.5; 42.41 deg, d = 2.131 Å, I 30.1; 49.37 deg, d = 1.846 Å, I 21.4; 49.91 deg, d = 1.827 Å, I 34.9

Atomic structure:
```
Be16SiW2
1.0
3.692 2.131 3.548
-3.692 2.131 3.548
0.000 -4.263 3.548
Be Si W
16 1 2
Direct
0.047 0.047 0.047
0.151 0.151 0.661
0.151 0.661 0.151
0.155 0.463 0.847
0.155 0.847 0.463
0.318 0.806 0.806
0.463 0.155 0.847
0.463 0.847 0.155
0.507 0.507 0.986
0.507 0.986 0.507
0.661 0.151 0.151
0.806 0.318 0.806
0.806 0.806 0.318
0.847 0.155 0.463
0.847 0.463 0.155
0.986 0.507 0.507
0.255 0.255 0.255
0.498 0.498 0.498
0.813 0.813 0.813
```

***

Entry 10:
# Y2BeSi
Computed powder diffraction line list, Cu Kα, 1.54184 Å. Input: a crystal structure in Alexandria, relaxed with PBE.

Largest 8 diffraction maxima, low angle first, 5° ≤ 2θ ≤ 70°:
23.04 deg, d = 3.860 Å, I 44.1; 28.50 deg, d = 3.132 Å, I 93.3; 32.85 deg, d = 2.726 Å, I 63.9; 32.92 deg, d = 2.721 Å, I 100.0; 33.07 deg, d = 2.709 Å, I 38.9; 33.23 deg, d = 2.696 Å, I 38.3; 40.70 deg, d = 2.217 Å, I 40.6; 53.09 deg, d = 1.725 Å, I 27.9

Atomic structure:
```
Y2BeSi
1.0
5.769 0.000 0.000
0.000 3.848 0.000
-2.828 0.000 7.726
Y Be Si
4 2 2
Direct
0.202 0.250 0.416
0.280 0.750 0.057
0.720 0.250 0.943
0.798 0.750 0.584
0.179 0.250 0.773
0.821 0.750 0.227
0.353 0.750 0.713
0.647 0.250 0.287
```

***

Entry 11:
# BeZnSi2
Computed powder diffraction line list, Cu Kα, 1.54184 Å. Input: a crystal structure in Alexandria, relaxed with PBE.

Largest 8 diffraction maxima, low angle first, 5° ≤ 2θ ≤ 70°:
24.23 deg, d = 3.673 Å, I 24.5; 26.32 deg, d = 3.386 Å, I 43.7; 33.20 deg, d = 2.698 Å, I 22.3; 41.53 deg, d = 2.175 Å, I 100.0; 43.93 deg, d = 2.061 Å, I 11.2; 47.66 deg, d = 1.908 Å, I 32.9; 49.63 deg, d = 1.837 Å, I 14.5; 55.26 deg, d = 1.662 Å, I 11.0

Atomic structure:
```
BeZnSi2
1.0
-1.908 1.908 3.673
1.908 -1.908 3.673
1.908 1.908 -3.673
Be Zn Si
1 1 2
Direct
0.000 0.000 0.000
0.750 0.250 0.500
0.250 0.750 0.500
0.500 0.500 0.000
```

***

Entry 12:
# SmTaBe17
Computed powder diffraction line list, Cu Kα, 1.54184 Å. Input: a crystal structure in Alexandria, relaxed with PBE.

Largest 8 diffraction maxima, low angle first, 5° ≤ 2θ ≤ 70°:
15.74 deg, d = 5.631 Å, I 62.8; 21.04 deg, d = 4.222 Å, I 29.2; 23.55 deg, d = 3.778 Å, I 100.0; 24.16 deg, d = 3.684 Å, I 31.7; 33.99 deg, d = 2.638 Å, I 92.0; 41.39 deg, d = 2.181 Å, I 30.5; 48.17 deg, d = 1.889 Å, I 23.2; 48.50 deg, d = 1.877 Å, I 43.1

Atomic structure:
```
SmTaBe17
1.0
3.778 2.181 3.684
-3.778 2.181 3.684
0.000 -4.363 3.684
Sm Ta Be
1 1 17
Direct
0.000 0.000 0.000
0.673 0.673 0.673
0.051 0.342 0.621
0.051 0.621 0.342
0.182 0.677 0.677
0.247 0.247 0.247
0.342 0.051 0.621
0.342 0.621 0.051
0.344 0.344 0.835
0.344 0.835 0.344
0.438 0.438 0.438
0.500 0.992 0.992
0.621 0.051 0.342
0.621 0.342 0.051
0.677 0.182 0.677
0.677 0.677 0.182
0.835 0.344 0.344
0.992 0.500 0.992
0.992 0.992 0.500
```